Record 1
Sc3Ag3SnS8: computed X-ray powder pattern (a wavelength of 1.5418 Å), based on DFT lattice parameters and positions (GGA-PBE).
Neutral-atom scattering factors, no anomalous dispersion.

Largest 10 diffraction maxima, in order of rising 2θ, 10° ≤ 2θ ≤ 90°:
14.37 deg, I = 547, hkl 1 1 0; 27.51 deg, I = 248, hkl 0 2 1; 27.81 deg, I = 153, hkl 0 0 2; 28.97 deg, I = 312, hkl 4 0 -2; 33.20 deg, I = 1000, hkl 2 2 -2; 33.31 deg, I = 497, hkl 4 0 0; 46.87 deg, I = 171, hkl 4 0 -4; 47.02 deg, I = 340, hkl 2 2 2; 48.45 deg, I = 490, hkl 0 4 0; 60.06 deg, I = 164, hkl 4 4 0

Atomic structure:
a = 13.0144 Å, b = 7.5158 Å, c = 7.7607 Å
α = 90.00°, β = 124.24°, γ = 90.00°
Space group C2/m (No. 12)
One atom of each set of equivalent atoms:
Sc 0.0000 0.0000 0.0000 (multiplicity 2)
Sc 0.2500 0.2500 0.0000 (multiplicity 4)
Ag 0.0000 0.5000 0.5000 (multiplicity 2)
Ag 0.2500 0.2500 0.5000 (multiplicity 4)
Sn 0.0000 0.5000 0.0000 (multiplicity 2)
S 0.0060 0.2532 0.7729 (multiplicity 8)
S 0.2399 0.0000 0.2180 (multiplicity 4)
S 0.2406 0.5000 0.2269 (multiplicity 4)


Record 2
Tb2ScAg3S6: computed X-ray powder pattern (a wavelength of 1.5418 Å), based on DFT lattice parameters and positions (GGA-PBE).
Neutral-atom scattering factors, no anomalous dispersion.

Largest 10 diffraction maxima, in order of rising 2θ, 10° ≤ 2θ ≤ 90°:
23.70 deg, I = 373, hkl 0 0 2; 26.50 deg, I = 491, hkl 2 0 0; 27.05 deg, I = 1000, hkl 1 3 -1; 29.96 deg, I = 351, hkl 1 3 1; 30.78 deg, I = 181, hkl 2 0 -2; 40.35 deg, I = 223, hkl 2 0 2; 41.73 deg, I = 329, hkl 1 3 -3; 45.19 deg, I = 326, hkl 3 3 -1; 45.30 deg, I = 154, hkl 0 6 0; 47.67 deg, I = 274, hkl 1 3 3

Atomic structure:
a = 6.9618 Å, b = 12.0100 Å, c = 7.7727 Å
α = 90.00°, β = 104.96°, γ = 90.00°
Space group C2/m (No. 12)
One atom of each set of equivalent atoms:
Tb 0.0000 0.1664 0.0000 (multiplicity 4)
Sc 0.0000 0.5000 0.0000 (multiplicity 2)
Ag 0.0000 0.0000 0.5000 (multiplicity 2)
Ag 0.0000 0.3476 0.5000 (multiplicity 4)
S 0.1061 0.3416 0.8142 (multiplicity 8)
S 0.1290 0.0000 0.8130 (multiplicity 4)


Record 3
Ag8SeS5: computed X-ray powder pattern (a wavelength of 1.5418 Å), based on DFT lattice parameters and positions (GGA-PBE).
Neutral-atom scattering factors, no anomalous dispersion.

Largest 10 diffraction maxima, in order of rising 2θ, 10° ≤ 2θ ≤ 90°:
28.69 deg, I = 1000, hkl 2 2 2; 33.25 deg, I = 727, hkl 4 0 0; 43.64 deg, I = 177, hkl 5 1 1; 47.74 deg, I = 749, hkl 4 4 0; 56.65 deg, I = 369, hkl 6 2 2; 59.42 deg, I = 148, hkl 4 4 4; 69.82 deg, I = 103, hkl 8 0 0; 77.16 deg, I = 125, hkl 6 6 2; 79.56 deg, I = 165, hkl 8 4 0; 89.00 deg, I = 207, hkl 8 4 4

Atomic structure:
a = 10.7770 Å, b = 10.7770 Å, c = 10.7770 Å
α = 90.00°, β = 90.00°, γ = 90.00°
Space group F-43m (No. 216)
One atom of each set of equivalent atoms:
Ag 0.1127 0.1127 0.3873 (multiplicity 16)
Ag 0.1310 0.1310 0.8690 (multiplicity 16)
Se 0.2500 0.2500 0.2500 (multiplicity 4)
S 0.0000 0.0000 0.0000 (multiplicity 4)
S 0.1273 0.1273 0.6273 (multiplicity 16)


Record 4
Ag3SeS2: computed X-ray powder pattern (a wavelength of 1.5418 Å), based on DFT lattice parameters and positions (GGA-PBE).
Neutral-atom scattering factors, no anomalous dispersion.

Largest 10 diffraction maxima, in order of rising 2θ, 10° ≤ 2θ ≤ 90°:
25.03 deg, I = 967, hkl 2 0 0; 25.25 deg, I = 222, hkl 0 0 2; 29.45 deg, I = 235, hkl 1 3 0; 29.63 deg, I = 250, hkl 1 1 2; 35.84 deg, I = 464, hkl 2 0 2; 39.17 deg, I = 1000, hkl 1 3 2; 40.22 deg, I = 218, hkl 2 2 2; 44.10 deg, I = 369, hkl 2 4 0; 46.93 deg, I = 195, hkl 3 3 0; 54.02 deg, I = 259, hkl 3 3 2

Atomic structure:
a = 7.1168 Å, b = 10.0571 Å, c = 7.0554 Å
α = 90.00°, β = 90.00°, γ = 90.00°
Space group Ibam (No. 72)
One atom of each set of equivalent atoms:
Ag 0.0000 0.0000 0.2500 (multiplicity 4)
Ag 0.0000 0.2879 0.2500 (multiplicity 8)
Se 0.0000 0.5000 0.0000 (multiplicity 4)
S 0.1894 0.1367 0.0000 (multiplicity 8)


Record 5
Ag3SeS4: computed X-ray powder pattern (a wavelength of 1.5418 Å), based on DFT lattice parameters and positions (GGA-PBE).
Neutral-atom scattering factors, no anomalous dispersion.

Largest 10 diffraction maxima, in order of rising 2θ, 10° ≤ 2θ ≤ 90°:
25.01 deg, I = 545, hkl 2 1 0; 25.66 deg, I = 321, hkl 0 2 0; 26.91 deg, I = 608, hkl 0 0 2; 28.46 deg, I = 1000, hkl 2 1 1; 29.04 deg, I = 394, hkl 0 2 1; 37.07 deg, I = 229, hkl 2 1 2; 43.65 deg, I = 261, hkl 4 0 0; 44.85 deg, I = 432, hkl 2 3 0; 48.51 deg, I = 486, hkl 2 1 3; 53.08 deg, I = 329, hkl 2 3 2

Atomic structure:
a = 8.2943 Å, b = 6.9429 Å, c = 6.6252 Å
α = 90.00°, β = 90.00°, γ = 90.00°
Space group Pmn2_1 (No. 31)
One atom of each set of equivalent atoms:
Ag 0.0000 0.1575 0.0000 (multiplicity 2)
Ag 0.2458 0.3223 0.4869 (multiplicity 4)
Se 0.0000 0.8198 0.4970 (multiplicity 2)
S 0.0000 0.1312 0.6117 (multiplicity 2)
S 0.0000 0.8157 0.1508 (multiplicity 2)
S 0.2492 0.3298 0.1068 (multiplicity 4)


Record 6
AgSeS2: computed X-ray powder pattern (a wavelength of 1.5418 Å), based on DFT lattice parameters and positions (GGA-PBE).
Neutral-atom scattering factors, no anomalous dispersion.

Largest 10 diffraction maxima, in order of rising 2θ, 10° ≤ 2θ ≤ 90°:
11.55 deg, I = 716, hkl 0 0 1; 16.77 deg, I = 1000, hkl 0 1 0; 23.19 deg, I = 318, hkl 0 1 2; 23.67 deg, I = 201, hkl 0 1 -1; 31.82 deg, I = 234, hkl -1 1 2; 33.39 deg, I = 326, hkl 1 2 2; 33.51 deg, I = 315, hkl 0 1 -2; 34.86 deg, I = 356, hkl 2 1 0; 37.50 deg, I = 197, hkl 2 0 0; 43.11 deg, I = 250, hkl -1 2 2

Atomic structure:
a = 5.1669 Å, b = 6.0568 Å, c = 8.2215 Å
α = 70.03°, β = 89.81°, γ = 69.50°
Space group P-1 (No. 2)
One atom of each set of equivalent atoms:
Ag 0.2426 0.0179 0.0915 (multiplicity 2)
Se 0.3822 0.7677 0.8740 (multiplicity 2)
S 0.1922 0.7769 0.4175 (multiplicity 2)
S 0.2137 0.0838 0.6030 (multiplicity 2)


Record 7
SmAgSeS: computed X-ray powder pattern (a wavelength of 1.5418 Å), based on DFT lattice parameters and positions (GGA-PBE).
Neutral-atom scattering factors, no anomalous dispersion.

Largest 10 diffraction maxima, in order of rising 2θ, 10° ≤ 2θ ≤ 90°:
25.20 deg, I = 906, hkl 1 0 4; 26.45 deg, I = 421, hkl 0 1 5; 35.36 deg, I = 982, hkl 1 0 10; 40.04 deg, I = 1000, hkl 1 1 0; 44.49 deg, I = 339, hkl 0 1 14; 47.89 deg, I = 160, hkl 0 2 4; 52.23 deg, I = 193, hkl 1 1 12; 54.47 deg, I = 274, hkl 0 2 10; 69.71 deg, I = 257, hkl 2 1 10; 72.73 deg, I = 209, hkl 3 0 0

Atomic structure:
a = 4.5041 Å, b = 4.5041 Å, c = 33.4307 Å
α = 90.00°, β = 90.00°, γ = 120.00°
Space group R-3m (No. 166, hexagonal axes)
One atom of each set of equivalent atoms:
Sm 0.0000 0.0000 0.1112 (multiplicity 6)
Ag 0.0000 0.0000 0.3074 (multiplicity 6)
Se 0.0000 0.0000 0.3901 (multiplicity 6)
S 0.0000 0.0000 0.1970 (multiplicity 6)


Record 8
Sm4AgSe2S: computed X-ray powder pattern (a wavelength of 1.5418 Å), based on DFT lattice parameters and positions (GGA-PBE).
Neutral-atom scattering factors, no anomalous dispersion.

Largest 10 diffraction maxima, in order of rising 2θ, 10° ≤ 2θ ≤ 90°:
26.02 deg, I = 149, hkl 2 0 0; 26.38 deg, I = 147, hkl 1 1 -1; 30.26 deg, I = 506, hkl 2 0 -2; 30.39 deg, I = 1000, hkl 1 1 1; 43.04 deg, I = 187, hkl 2 0 2; 43.35 deg, I = 368, hkl 1 1 -3; 43.47 deg, I = 373, hkl 3 1 -1; 43.98 deg, I = 181, hkl 0 2 0; 54.31 deg, I = 192, hkl 2 2 -2; 71.57 deg, I = 162, hkl 5 1 -3

Atomic structure:
a = 7.2381 Å, b = 4.1181 Å, c = 7.2636 Å
α = 90.00°, β = 109.14°, γ = 90.00°
Space group P2/m (No. 10)
One atom of each set of equivalent atoms:
Sm 0.2428 0.0000 0.2361 (multiplicity 2)
Sm 0.2512 0.5000 0.7592 (multiplicity 2)
Ag 0.0000 0.0000 0.5000 (multiplicity 1)
Se 0.5000 0.0000 0.0000 (multiplicity 1)
Se 0.5000 0.5000 0.5000 (multiplicity 1)
S 0.0000 0.5000 0.0000 (multiplicity 1)


Record 9
AgSn2Se3S: computed X-ray powder pattern (a wavelength of 1.5418 Å), based on DFT lattice parameters and positions (GGA-PBE).
Neutral-atom scattering factors, no anomalous dispersion.

Largest 10 diffraction maxima, in order of rising 2θ, 10° ≤ 2θ ≤ 90°:
21.98 deg, I = 281, hkl 1 0 4; 25.81 deg, I = 202, hkl 0 1 5; 25.93 deg, I = 1000, hkl 1 1 3; 31.36 deg, I = 810, hkl 0 2 4; 41.07 deg, I = 332, hkl 0 2 7; 41.19 deg, I = 216, hkl 0 3 3; 44.82 deg, I = 631, hkl 2 0 8; 45.07 deg, I = 694, hkl 2 2 0; 65.44 deg, I = 201, hkl 0 4 8; 83.00 deg, I = 212, hkl 4 2 8

Atomic structure:
a = 8.0464 Å, b = 8.0464 Å, c = 19.8651 Å
α = 90.00°, β = 90.00°, γ = 120.00°
Space group R-3m (No. 166, hexagonal axes)
One atom of each set of equivalent atoms:
Ag 0.0000 0.0000 0.1395 (multiplicity 6)
Sn 0.0000 0.0000 0.5000 (multiplicity 3)
Sn 0.0000 0.5000 0.0000 (multiplicity 9)
Se 0.0108 0.5054 0.2511 (multiplicity 18)
S 0.0000 0.0000 0.2639 (multiplicity 6)


Record 10
SrAg2SeS: computed X-ray powder pattern (a wavelength of 1.5418 Å), based on DFT lattice parameters and positions (GGA-PBE).
Neutral-atom scattering factors, no anomalous dispersion.

Largest 10 diffraction maxima, in order of rising 2θ, 10° ≤ 2θ ≤ 90°:
12.68 deg, I = 1000, hkl 0 0 2; 24.19 deg, I = 225, hkl 1 1 2; 25.52 deg, I = 314, hkl 0 0 4; 31.92 deg, I = 356, hkl 2 0 2; 32.97 deg, I = 285, hkl 1 1 4; 33.35 deg, I = 716, hkl 2 1 1; 38.13 deg, I = 492, hkl 2 1 3; 39.14 deg, I = 504, hkl 2 0 4; 46.45 deg, I = 274, hkl 2 1 5; 46.93 deg, I = 291, hkl 3 1 0

Atomic structure:
a = 6.1224 Å, b = 6.1224 Å, c = 13.9608 Å
α = 90.00°, β = 90.00°, γ = 90.00°
Space group I4cm (No. 108)
One atom of each set of equivalent atoms:
Sr 0.0000 0.0000 0.0000 (multiplicity 4)
Ag 0.1661 0.3339 0.1887 (multiplicity 8)
Se 0.0000 0.0000 0.2831 (multiplicity 4)
S 0.0000 0.5000 0.0312 (multiplicity 4)


Repeat the fourth record exactly.
Ag3SeS2: computed X-ray powder pattern (a wavelength of 1.5418 Å), based on DFT lattice parameters and positions (GGA-PBE).
Neutral-atom scattering factors, no anomalous dispersion.

Largest 10 diffraction maxima, in order of rising 2θ, 10° ≤ 2θ ≤ 90°:
25.03 deg, I = 967, hkl 2 0 0; 25.25 deg, I = 222, hkl 0 0 2; 29.45 deg, I = 235, hkl 1 3 0; 29.63 deg, I = 250, hkl 1 1 2; 35.84 deg, I = 464, hkl 2 0 2; 39.17 deg, I = 1000, hkl 1 3 2; 40.22 deg, I = 218, hkl 2 2 2; 44.10 deg, I = 369, hkl 2 4 0; 46.93 deg, I = 195, hkl 3 3 0; 54.02 deg, I = 259, hkl 3 3 2

Atomic structure:
a = 7.1168 Å, b = 10.0571 Å, c = 7.0554 Å
α = 90.00°, β = 90.00°, γ = 90.00°
Space group Ibam (No. 72)
One atom of each set of equivalent atoms:
Ag 0.0000 0.0000 0.2500 (multiplicity 4)
Ag 0.0000 0.2879 0.2500 (multiplicity 8)
Se 0.0000 0.5000 0.0000 (multiplicity 4)
S 0.1894 0.1367 0.0000 (multiplicity 8)